# 1
NbPbI4: simulated powder diffraction line list (Cu Kα (λ = 1.5418 Å)), based on a GGA-PBE-relaxed structure.

Most intense lines, 2θ = 10–90°, by angle:
2θ/deg, Rel. int.
11.58, 100.0
25.96, 92.2
28.26, 56.3
33.07, 69.5
42.62, 31.6
43.78, 29.2

abc: 8.922 8.922 6.942
angles: 90.09 90.09 62.21
Fractional positions:
1 Nb 0.081 0.919 0.750
2 Nb 0.919 0.081 0.250
3 Pb 0.401 0.599 0.250
4 Pb 0.599 0.401 0.750
5 I 0.015 0.759 0.418
6 I 0.198 0.566 0.890
7 I 0.241 0.985 0.082
8 I 0.434 0.802 0.610
9 I 0.566 0.198 0.390
10 I 0.759 0.015 0.918
11 I 0.802 0.434 0.110
12 I 0.985 0.241 0.582

# 2
CaErIn4: simulated powder diffraction line list (Cu Kα (λ = 1.5418 Å)), based on a GGA-PBE-relaxed structure.

Most intense lines, 2θ = 10–90°, by angle:
2θ/deg, Rel. int.
32.28, 100.0
32.33, 30.7
35.86, 76.0
36.09, 37.4
49.16, 26.2
63.55, 25.4

abc: 3.609 4.978 8.691
angles: 90.00 90.05 90.00
Fractional positions:
1 Ca 0.000 0.000 0.000
2 Er 0.000 0.500 0.500
3 In 0.468 0.000 0.336
4 In 0.479 0.500 0.831
5 In 0.521 0.500 0.169
6 In 0.532 0.000 0.664

# 3
Li2PuGeN: simulated powder diffraction line list (Cu Kα (λ = 1.5418 Å)), based on a GGA-PBE-relaxed structure.

Most intense lines, 2θ = 10–90°, by angle:
2θ/deg, Rel. int.
20.32, 91.7
20.99, 62.2
29.85, 89.1
36.38, 100.0
47.74, 42.2
51.80, 38.6

abc: 6.085 6.085 6.085
angles: 121.07 121.07 88.16
Fractional positions:
1 Li 0.214 0.714 0.927
2 Li 0.286 0.214 0.500
3 Li 0.714 0.786 0.500
4 Li 0.786 0.286 0.073
5 Pu 0.250 0.250 0.000
6 Pu 0.750 0.750 0.000
7 Ge 0.250 0.750 0.500
8 Ge 0.750 0.250 0.500
9 N 0.000 0.000 0.000
10 N 0.500 0.500 0.000

Which formula does entry 2 have?
CaErIn4